Structure and simulated XRD peak list of InCoO3 (DFT lattice parameters and positions (PBE+U); Cu Kα).
Peak positions follow from Bragg's law for the DFT cell and can differ from measured ones.

Structure:
a = 5.287 Å, b = 7.340 Å, c = 5.088 Å
α = 90.00°, β = 90.00°, γ = 90.00°
Fractional positions:
In (0.064, 0.250, 0.021)
In (0.436, 0.750, 0.521)
In (0.564, 0.250, 0.479)
In (0.936, 0.750, 0.979)
Co (0.000, 0.000, 0.500)
Co (0.000, 0.500, 0.500)
Co (0.500, 0.000, 0.000)
Co (0.500, 0.500, 0.000)
O (0.047, 0.750, 0.383)
O (0.199, 0.562, 0.805)
O (0.199, 0.938, 0.805)
O (0.301, 0.062, 0.305)
O (0.301, 0.438, 0.305)
O (0.453, 0.250, 0.883)
O (0.547, 0.750, 0.117)
O (0.699, 0.562, 0.695)
O (0.699, 0.938, 0.695)
O (0.801, 0.062, 0.195)
O (0.801, 0.438, 0.195)
O (0.953, 0.250, 0.617)

Principal peaks in the range 15° ≤ 2θ ≤ 90°, sorted by position:
| 2theta | Rel. int. | index |
| --- | --- | --- |
| 24.27 | 12 | 0 2 0 |
| 27.19 | 16 | 1 1 1 |
| 33.91 | 19 | 2 0 0 |
| 34.58 | 100 | 1 2 1 |
| 35.28 | 23 | 0 0 2 |
| 49.72 | 32 | 0 4 0 |
| 56.68 | 14 | 3 1 1 |
| 62.87 | 21 | 1 2 3 |